[1]
Structure and simulated powder XRD pattern of Ta2CuO6 (a PBE-relaxed structure; CuKα).

Structure:
```
data_Ta2CuO6
_space_group_name_H-M_alt 'P 42/m n m'
_space_group_IT_number 136
_space_group_name_Hall '-P 4n 2n'
_cell_length_a 4.795
_cell_length_b 4.795
_cell_length_c 9.165
_cell_angle_alpha 90.00
_cell_angle_beta 90.00
_cell_angle_gamma 90.00
loop_
_atom_site_label
_atom_site_type_symbol
_atom_site_fract_x
_atom_site_fract_y
_atom_site_fract_z
Ta1 Ta 0.000 0.000 0.168
Cu1 Cu 0.000 0.000 0.500
O1 O 0.188 0.188 0.000
O2 O 0.204 0.204 0.324
```

Peak list (10 most intense, 10° ≤ 2θ ≤ 90°, in order of rising 2θ)
d 4.248, 2θ = 20.91°, intensity 22, hkl 1 0 1; d 3.390, 2θ = 26.29°, intensity 100, hkl 1 1 0; d 2.576, 2θ = 34.82°, intensity 79, hkl 1 0 3; d 2.397, 2θ = 37.52°, intensity 25, hkl 2 0 0; d 1.755, 2θ = 52.11°, intensity 64, hkl 2 1 3; d 1.695, 2θ = 54.10°, intensity 17, hkl 2 2 0; d 1.516, 2θ = 61.12°, intensity 16, hkl 3 1 0; d 1.416, 2θ = 65.97°, intensity 19, hkl 3 0 3; d 1.393, 2θ = 67.22°, intensity 17, hkl 1 1 6; d 1.219, 2θ = 78.44°, intensity 14, hkl 3 2 3

=====

[2]
Structure and simulated powder XRD pattern of Ta7Cu3O19 (a PBE-relaxed structure; CuKα).

Structure:
```
data_Ta7Cu3O19
_space_group_name_H-M_alt 'P 63/m'
_space_group_IT_number 176
_space_group_name_Hall '-P 6c'
_cell_length_a 6.2857
_cell_length_b 6.2857
_cell_length_c 20.4397
_cell_angle_alpha 90.00
_cell_angle_beta 90.00
_cell_angle_gamma 120.00
loop_
_atom_site_label
_atom_site_type_symbol
_atom_site_fract_x
_atom_site_fract_y
_atom_site_fract_z
Ta1 Ta 0.0000 0.0000 0.0000
Ta2 Ta 0.0287 0.3351 0.1567
Cu1 Cu 0.0000 0.5000 0.0000
O1 O 0.0000 0.0000 0.1626
O2 O 0.0280 0.2768 0.0565
O3 O 0.0697 0.3605 0.2500
O4 O 0.0860 0.4201 0.6542
O5 O 0.3333 0.6667 0.1386
```

Peak list (10 most intense, 10° ≤ 2θ ≤ 90°, in order of rising 2θ)
d 5.110, 2θ = 17.35°, intensity 18, hkl 0 0 4; d 3.407, 2θ = 26.16°, intensity 75, hkl 0 0 6; d 3.143, 2θ = 28.40°, intensity 17, hkl 1 1 0; d 3.106, 2θ = 28.74°, intensity 100, hkl 1 1 1; d 2.677, 2θ = 33.47°, intensity 21, hkl 1 1 4; d 2.630, 2θ = 34.09°, intensity 17, hkl 2 0 2; d 2.492, 2θ = 36.05°, intensity 49, hkl 1 1 5; d 1.815, 2θ = 50.28°, intensity 29, hkl 3 0 0; d 1.602, 2θ = 57.55°, intensity 28, hkl 3 0 6; d 1.600, 2θ = 57.63°, intensity 21, hkl 1 1 11

=====

[3]
Structure and simulated powder XRD pattern of Ta2CuO6 (a PBE-relaxed structure; CuKα).

Structure:
```
data_Ta2CuO6
_space_group_name_H-M_alt 'I m m m'
_space_group_IT_number 71
_space_group_name_Hall '-I 2 2'
_cell_length_a 7.507
_cell_length_b 7.631
_cell_length_c 7.639
_cell_angle_alpha 90.00
_cell_angle_beta 90.00
_cell_angle_gamma 90.00
loop_
_atom_site_label
_atom_site_type_symbol
_atom_site_fract_x
_atom_site_fract_y
_atom_site_fract_z
Ta1 Ta 0.250 0.250 0.250
Cu1 Cu 0.000 0.000 0.000
Cu2 Cu 0.000 0.000 0.500
O1 O 0.000 0.304 0.205
O2 O 0.187 0.186 0.500
O3 O 0.193 0.000 0.178
```

Peak list (10 most intense, 10° ≤ 2θ ≤ 90°, in order of rising 2θ)
d 3.818, 2θ = 23.30°, intensity 75, hkl 0 2 0; d 3.754, 2θ = 23.70°, intensity 36, hkl 2 0 0; d 2.699, 2θ = 33.19°, intensity 55, hkl 0 2 2; d 2.677, 2θ = 33.48°, intensity 100, hkl 2 2 0; d 2.192, 2θ = 41.19°, intensity 21, hkl 2 2 2; d 1.909, 2θ = 47.64°, intensity 26, hkl 0 0 4; d 1.707, 2θ = 53.69°, intensity 18, hkl 0 2 4; d 1.684, 2θ = 54.48°, intensity 16, hkl 4 0 2; d 1.554, 2θ = 59.48°, intensity 48, hkl 2 4 2; d 1.541, 2θ = 60.04°, intensity 24, hkl 4 2 2

=====

[4]
Structure and simulated powder XRD pattern of Ta2Ti2Cu3O12 (a PBE-relaxed structure; CuKα).

Structure:
```
data_Ta2Ti2Cu3O12
_space_group_name_H-M_alt 'C 1 2/m 1'
_space_group_IT_number 12
_cell_length_a 10.576
_cell_length_b 7.518
_cell_length_c 7.508
_cell_angle_alpha 90.00
_cell_angle_beta 134.75
_cell_angle_gamma 90.00
loop_
_space_group_symop_operation_xyz
'x,y,z'
'-x,-y,-z'
'-x,y,-z'
'x,-y,z'
'x+1/2,y+1/2,z'
'-x+1/2,-y+1/2,-z'
'-x+1/2,y+1/2,-z'
'x+1/2,-y+1/2,z'
loop_
_atom_site_label
_atom_site_type_symbol
_atom_site_fract_x
_atom_site_fract_y
_atom_site_fract_z
Ta1 Ta 0.250 0.250 0.000
Ti1 Ti 0.250 0.250 0.500
Cu1 Cu 0.000 0.000 0.000
Cu2 Cu 0.000 0.000 0.500
Cu3 Cu 0.000 0.500 0.500
O1 O 0.000 0.189 0.183
O2 O 0.181 0.500 0.870
O3 O 0.184 0.500 0.495
O4 O 0.189 0.183 0.689
```

Peak list (10 most intense, 10° ≤ 2θ ≤ 90°, in order of rising 2θ)
d 5.324, 2θ = 16.65°, intensity 22, hkl 0 0 1; d 5.288, 2θ = 16.77°, intensity 42, hkl 2 0 -1; d 3.756, 2θ = 23.69°, intensity 38, hkl 2 0 0; d 3.073, 2θ = 29.06°, intensity 27, hkl 0 2 1; d 2.666, 2θ = 33.62°, intensity 25, hkl 0 0 2; d 2.657, 2θ = 33.74°, intensity 100, hkl 2 2 0; d 2.644, 2θ = 33.90°, intensity 25, hkl 4 0 -2; d 1.878, 2θ = 48.47°, intensity 38, hkl 4 0 0; d 1.537, 2θ = 60.21°, intensity 36, hkl 2 2 2; d 1.529, 2θ = 60.56°, intensity 23, hkl 6 2 -2

=====

Which formula does entry 2 have?
Ta7Cu3O19